No. 1
This entry pairs a crystal structure of PmAlTl2Se4 with its calculated powder diffraction line list. Radiation: Cu Ka. Structure: a PBE-relaxed structure.
Lines closer than 0.1° are merged.

The 10 most intense peaks (2θ from 10° to 90°), sorted by position:
24.9 deg, I = 337
29.4 deg, I = 502
29.6 deg, I = 1000
32.5 deg, I = 194
40.9 deg, I = 171
42.2 deg, I = 693
43.7 deg, I = 205
51.2 deg, I = 162
53.6 deg, I = 183
69.5 deg, I = 150

Atomic structure:
abc: 8.5763 8.5763 8.5763
angles: 122.26 118.05 89.77
Fractional coordinates of all 16 atoms:
1 Pm 0.0000 0.0000 0.0000
2 Pm 0.5000 0.0000 0.5000
3 Al 0.5000 0.0000 0.0000
4 Al 0.5000 0.5000 0.5000
5 Tl 0.0000 0.0000 0.5000
6 Tl 0.0000 0.5000 0.0000
7 Tl 0.0000 0.5000 0.5000
8 Tl 0.5000 0.5000 0.0000
9 Se 0.2785 0.2611 0.4826
10 Se 0.2785 0.7960 0.0174
11 Se 0.2948 0.2432 0.0515
12 Se 0.3083 0.7568 0.5515
13 Se 0.6917 0.2432 0.4485
14 Se 0.7052 0.7568 0.9485
15 Se 0.7215 0.2040 0.9826
16 Se 0.7215 0.7389 0.5174

=====

No. 2
This entry pairs a crystal structure of PaTaSn with its calculated powder diffraction line list. Radiation: Cu Ka. Structure: a PBE-relaxed structure.
Lines closer than 0.1° are merged.

The 10 most intense peaks (2θ from 10° to 90°), sorted by position:
11.7 deg, I = 141
27.0 deg, I = 151
31.1 deg, I = 537
35.7 deg, I = 221
37.5 deg, I = 1000
41.1 deg, I = 489
55.6 deg, I = 254
59.5 deg, I = 168
69.3 deg, I = 167
72.5 deg, I = 303

Atomic structure:
abc: 8.1520 8.1520 8.1520
angles: 148.74 148.74 44.79
Fractional coordinates of all 6 atoms:
1 Pa 0.1530 0.1530 0.0000
2 Pa 0.8470 0.8470 0.0000
3 Ta 0.0000 0.5000 0.5000
4 Ta 0.5000 0.0000 0.5000
5 Sn 0.3665 0.3665 0.0000
6 Sn 0.6335 0.6335 0.0000

=====

No. 3
This entry pairs a crystal structure of PuAg3Pd6 with its calculated powder diffraction line list. Radiation: Cu Ka. Structure: a PBE-relaxed structure.
Lines closer than 0.1° are merged.

The 10 most intense peaks (2θ from 10° to 90°), sorted by position:
35.7 deg, I = 1000
37.0 deg, I = 628
38.3 deg, I = 597
38.6 deg, I = 200
40.3 deg, I = 841
41.0 deg, I = 720
45.5 deg, I = 388
58.8 deg, I = 193
79.0 deg, I = 189
80.8 deg, I = 193

Atomic structure:
abc: 11.4084 11.4084 2.8437
angles: 95.16 95.16 28.71
Fractional coordinates of all 10 atoms:
1 Pu 0.0000 0.0000 0.0000
2 Ag 0.1991 0.1991 0.2186
3 Ag 0.5000 0.5000 0.5000
4 Ag 0.8009 0.8009 0.7814
5 Pd 0.1422 0.6498 0.3512
6 Pd 0.3076 0.3076 0.7958
7 Pd 0.3502 0.8578 0.6488
8 Pd 0.6498 0.1422 0.3512
9 Pd 0.6924 0.6924 0.2042
10 Pd 0.8578 0.3502 0.6488